This entry pairs a crystal structure of CsFeCoF6 with its calculated PXRD pattern. Radiation: Cu Kα, 1.54184 Å. Structure: a structure optimized by DFT (PBE+U).
Intensities are scaled so that the largest is 1000.

Principal peaks in the range 10° ≤ 2θ ≤ 90°, sorted by position:
- 23.8 deg, I = 361, hkl 1 1 2
- 27.8 deg, I = 556, hkl 1 2 1
- 28.0 deg, I = 1000, hkl 0 1 3
- 29.3 deg, I = 158, hkl 2 0 2
- 44.3 deg, I = 219, hkl 0 3 3
- 44.5 deg, I = 127, hkl 1 0 5
- 44.7 deg, I = 129, hkl 3 0 3
- 48.7 deg, I = 380, hkl 2 2 4
- 57.3 deg, I = 135, hkl 3 0 5
- 68.1 deg, I = 143, hkl 2 1 7

Structural model:
Unit cell a=7.4466 b=7.5382 c=10.5654 alpha=90.00 beta=90.00 gamma=90.00
Space group Imma (No. 74)
Unique sites:
Cs: 0.0000 0.2500 0.1199 [4 per cell]
Fe: 0.0000 0.0000 0.5000 [4 per cell]
Co: 0.2500 0.2500 0.7500 [4 per cell]
F: 0.0000 0.2500 0.4389 [4 per cell]
F: 0.0000 0.2500 0.8234 [4 per cell]
F: 0.1876 0.0481 0.6231 [16 per cell]